This entry pairs a crystal structure of Zn3In2O6 with its simulated powder diffraction line list. Radiation: λ = 1.5418 Å (Cu Kα). Structure: a crystal structure in the Materials Project, relaxed with PBE.

Structure:
```
data_Zn3In2O6
_symmetry_space_group_name_H-M 'P 1'
_symmetry_Int_Tables_number 1
_cell_length_a 5.9103
_cell_length_b 6.8355
_cell_length_c 14.5148
_cell_angle_alpha 83.12
_cell_angle_beta 85.98
_cell_angle_gamma 89.91
loop_
_symmetry_equiv_pos_as_xyz
'x,y,z'
loop_
_atom_site_label
_atom_site_type_symbol
_atom_site_fract_x
_atom_site_fract_y
_atom_site_fract_z
_atom_site_occupancy
Zn1 Zn 0.0000 0.0000 0.0000 1
Zn2 Zn 0.0008 0.5080 0.0035 1
Zn3 Zn 0.2357 0.3646 0.5737 1
Zn4 Zn 0.2413 0.8589 0.5739 1
Zn5 Zn 0.2989 0.4564 0.1965 1
Zn6 Zn 0.3018 0.9570 0.1941 1
Zn7 Zn 0.4359 0.6494 0.3938 1
Zn8 Zn 0.4970 0.7545 0.0035 1
Zn9 Zn 0.7347 0.6077 0.5761 1
Zn10 Zn 0.7392 0.1147 0.5743 1
Zn11 Zn 0.8064 0.2062 0.1931 1
Zn12 Zn 0.9365 0.4128 0.3939 1
In1 In 0.3684 0.0571 0.7860 1
In2 In 0.3678 0.5603 0.7871 1
In3 In 0.4356 0.1697 0.3805 1
In4 In 0.4990 0.2519 0.0114 1
In5 In 0.7973 0.7010 0.1948 1
In6 In 0.8676 0.8073 0.7887 1
In7 In 0.8723 0.3085 0.7866 1
In8 In 0.9375 0.9026 0.3828 1
O1 O 0.0233 0.0396 0.8615 1
O2 O 0.0229 0.5382 0.8631 1
O3 O 0.2125 0.8268 0.7129 1
O4 O 0.2177 0.3276 0.7134 1
O5 O 0.2617 0.4289 0.3618 1
O6 O 0.2886 0.9040 0.3639 1
O7 O 0.3167 0.9864 0.0438 1
O8 O 0.3218 0.5031 0.0418 1
O9 O 0.4103 0.1226 0.5341 1
O10 O 0.4129 0.6202 0.5363 1
O11 O 0.4503 0.7040 0.2049 1
O12 O 0.4688 0.2026 0.2088 1
O13 O 0.5210 0.7901 0.8629 1
O14 O 0.5235 0.2883 0.8628 1
O15 O 0.7144 0.5764 0.7149 1
O16 O 0.7147 0.0773 0.7136 1
O17 O 0.7630 0.6524 0.3570 1
O18 O 0.7839 0.1762 0.3650 1
O19 O 0.8246 0.7470 0.0406 1
O20 O 0.8415 0.2408 0.0426 1
O21 O 0.9103 0.3728 0.5368 1
O22 O 0.9101 0.8691 0.5342 1
O23 O 0.9679 0.9550 0.2222 1
O24 O 0.9722 0.4423 0.2050 1
```

Principal peaks in the range 2θ = 5–70°, sorted by position:
two_theta	I/Imax
30.29	88
31.11	77
33.59	75
33.67	38
34.59	100
45.58	29
53.65	50
53.74	25
58.24	26
63.41	37


This entry pairs a crystal structure of Zn3In2O6 with its simulated powder diffraction line list. Radiation: λ = 1.5418 Å (Cu Kα). Structure: a crystal structure in the Materials Project, relaxed with PBE.

Structure:
```
data_Zn3In2O6
_symmetry_space_group_name_H-M 'P 1'
_symmetry_Int_Tables_number 1
_cell_length_a 5.9200
_cell_length_b 6.8430
_cell_length_c 14.4624
_cell_angle_alpha 90.00
_cell_angle_beta 97.81
_cell_angle_gamma 90.00
loop_
_symmetry_equiv_pos_as_xyz
'x,y,z'
loop_
_atom_site_label
_atom_site_type_symbol
_atom_site_fract_x
_atom_site_fract_y
_atom_site_fract_z
_atom_site_occupancy
Zn1 Zn 0.1339 0.9997 0.4064 1
Zn2 Zn 0.1339 0.5003 0.4064 1
Zn3 Zn 0.2376 0.2500 0.2154 1
Zn4 Zn 0.2623 0.5047 0.7858 1
Zn5 Zn 0.2623 0.9953 0.7858 1
Zn6 Zn 0.3595 0.2500 0.5942 1
Zn7 Zn 0.6405 0.7500 0.4058 1
Zn8 Zn 0.7377 0.0047 0.2142 1
Zn9 Zn 0.7377 0.4953 0.2142 1
Zn10 Zn 0.7624 0.7500 0.7846 1
Zn11 Zn 0.8661 0.0003 0.5936 1
Zn12 Zn 0.8661 0.4997 0.5936 1
In1 In 0.0000 0.0000 0.0000 1
In2 In 0.0000 0.5000 0.0000 1
In3 In 0.2426 0.7500 0.2240 1
In4 In 0.3650 0.7500 0.5914 1
In5 In 0.4975 0.2500 0.0021 1
In6 In 0.5025 0.7500 0.9979 1
In7 In 0.6350 0.2500 0.4086 1
In8 In 0.7574 0.2500 0.7760 1
O1 O 0.0785 0.0088 0.2533 1
O2 O 0.0785 0.4912 0.2533 1
O3 O 0.1878 0.0077 0.5780 1
O4 O 0.1876 0.2500 0.0744 1
O5 O 0.1878 0.4923 0.5780 1
O6 O 0.1939 0.7500 0.0751 1
O7 O 0.2937 0.2500 0.4211 1
O8 O 0.3083 0.9999 0.9265 1
O9 O 0.3083 0.5001 0.9265 1
O10 O 0.3093 0.7500 0.4185 1
O11 O 0.4008 0.2500 0.7474 1
O12 O 0.4191 0.7500 0.7480 1
O13 O 0.5809 0.2500 0.2520 1
O14 O 0.5992 0.7500 0.2526 1
O15 O 0.6907 0.2500 0.5815 1
O16 O 0.6917 0.0001 0.0735 1
O17 O 0.6917 0.4999 0.0735 1
O18 O 0.7063 0.7500 0.5789 1
O19 O 0.8061 0.2500 0.9249 1
O20 O 0.8122 0.5077 0.4220 1
O21 O 0.8124 0.7500 0.9256 1
O22 O 0.8122 0.9923 0.4220 1
O23 O 0.9215 0.5088 0.7467 1
O24 O 0.9215 0.9912 0.7467 1
```

Principal peaks in the range 2θ = 5–70°, sorted by position:
two_theta	I/Imax
30.25	77
31.21	70
33.60	100
34.58	94
45.59	39
53.57	24
53.61	47
56.42	18
58.39	34
63.34	52


This entry pairs a crystal structure of ZrIn2O5 with its simulated powder diffraction line list. Radiation: λ = 1.5418 Å (Cu Kα). Structure: a crystal structure in the Materials Project, relaxed with PBE.

Structure:
```
data_ZrIn2O5
_symmetry_space_group_name_H-M 'P 1'
_symmetry_Int_Tables_number 1
_cell_length_a 7.5027
_cell_length_b 3.7062
_cell_length_c 15.6209
_cell_angle_alpha 90.00
_cell_angle_beta 90.00
_cell_angle_gamma 90.00
loop_
_symmetry_equiv_pos_as_xyz
'x,y,z'
loop_
_atom_site_label
_atom_site_type_symbol
_atom_site_fract_x
_atom_site_fract_y
_atom_site_fract_z
_atom_site_occupancy
Zr1 Zr 0.1115 0.2500 0.0794 1
Zr2 Zr 0.3885 0.7500 0.5794 1
Zr3 Zr 0.6115 0.2500 0.4206 1
Zr4 Zr 0.8885 0.7500 0.9206 1
In1 In 0.0949 0.2500 0.4143 1
In2 In 0.1789 0.2500 0.7611 1
In3 In 0.3211 0.7500 0.2611 1
In4 In 0.4051 0.7500 0.9143 1
In5 In 0.5949 0.2500 0.0857 1
In6 In 0.6789 0.2500 0.7389 1
In7 In 0.8211 0.7500 0.2389 1
In8 In 0.9051 0.7500 0.5857 1
O1 O 0.0567 0.7500 0.3238 1
O2 O 0.0671 0.7500 0.0422 1
O3 O 0.1407 0.7500 0.8520 1
O4 O 0.1435 0.7500 0.5026 1
O5 O 0.2487 0.2500 0.1889 1
O6 O 0.2513 0.7500 0.6889 1
O7 O 0.3565 0.2500 0.0026 1
O8 O 0.3593 0.2500 0.3520 1
O9 O 0.4329 0.2500 0.5422 1
O10 O 0.4433 0.2500 0.8238 1
O11 O 0.5567 0.7500 0.1762 1
O12 O 0.5671 0.7500 0.4578 1
O13 O 0.6407 0.7500 0.6480 1
O14 O 0.6435 0.7500 0.9974 1
O15 O 0.7487 0.2500 0.3111 1
O16 O 0.7513 0.7500 0.8111 1
O17 O 0.8565 0.2500 0.4974 1
O18 O 0.8593 0.2500 0.1480 1
O19 O 0.9329 0.2500 0.9578 1
O20 O 0.9433 0.2500 0.6762 1
```

Principal peaks in the range 2θ = 5–70°, sorted by position:
two_theta	I/Imax
26.36	17
29.34	87
29.58	100
34.00	39
34.46	29
49.18	69
57.87	12
58.29	24
58.60	11
58.74	13


This entry pairs a crystal structure of Tm2InOs with its simulated powder diffraction line list. Radiation: λ = 1.5418 Å (Cu Kα). Structure: a crystal structure in the Materials Project, relaxed with PBE.

Structure:
```
data_Tm2InOs
_symmetry_space_group_name_H-M 'P 1'
_symmetry_Int_Tables_number 1
_cell_length_a 4.9813
_cell_length_b 4.9813
_cell_length_c 4.9813
_cell_angle_alpha 60.00
_cell_angle_beta 60.00
_cell_angle_gamma 60.00
loop_
_symmetry_equiv_pos_as_xyz
'x,y,z'
loop_
_atom_site_label
_atom_site_type_symbol
_atom_site_fract_x
_atom_site_fract_y
_atom_site_fract_z
_atom_site_occupancy
Tm1 Tm 0.2500 0.2500 0.2500 1
Tm2 Tm 0.7500 0.7500 0.7500 1
In1 In 0.0000 0.0000 0.0000 1
Os1 Os 0.5000 0.5000 0.5000 1
```

Principal peaks in the range 2θ = 5–70°, sorted by position:
two_theta	I/Imax
21.85	3
36.06	100
42.56	2
51.92	18
56.98	1
64.84	36
69.31	1


This entry pairs a crystal structure of InP with its simulated powder diffraction line list. Radiation: λ = 1.5418 Å (Cu Kα). Structure: a crystal structure in the Materials Project, relaxed with PBE.

Structure:
```
data_InP
_symmetry_space_group_name_H-M 'P 1'
_symmetry_Int_Tables_number 1
_cell_length_a 4.2105
_cell_length_b 4.2105
_cell_length_c 6.9022
_cell_angle_alpha 90.00
_cell_angle_beta 90.00
_cell_angle_gamma 120.00
loop_
_symmetry_equiv_pos_as_xyz
'x,y,z'
loop_
_atom_site_label
_atom_site_type_symbol
_atom_site_fract_x
_atom_site_fract_y
_atom_site_fract_z
_atom_site_occupancy
In1 In 0.3333 0.6667 0.0000 1
In2 In 0.6667 0.3333 0.5000 1
P1 P 0.3333 0.6667 0.3750 1
P2 P 0.6667 0.3333 0.8750 1
```

Principal peaks in the range 2θ = 5–70°, sorted by position:
two_theta	I/Imax
24.41	54
25.82	41
27.67	100
35.83	26
42.96	46
46.68	48
50.80	37
51.87	17
65.30	17
69.56	14


This entry pairs a crystal structure of InP with its simulated powder diffraction line list. Radiation: λ = 1.5418 Å (Cu Kα). Structure: a crystal structure in the Materials Project, relaxed with PBE.

Structure:
```
data_InP
_symmetry_space_group_name_H-M 'P 1'
_symmetry_Int_Tables_number 1
_cell_length_a 4.2120
_cell_length_b 4.2120
_cell_length_c 4.2120
_cell_angle_alpha 60.00
_cell_angle_beta 60.00
_cell_angle_gamma 60.00
loop_
_symmetry_equiv_pos_as_xyz
'x,y,z'
loop_
_atom_site_label
_atom_site_type_symbol
_atom_site_fract_x
_atom_site_fract_y
_atom_site_fract_z
_atom_site_occupancy
In1 In 0.0000 0.0000 0.0000 1
P1 P 0.2500 0.2500 0.2500 1
```

Principal peaks in the range 2θ = 5–70°, sorted by position:
two_theta	I/Imax
25.91	100
30.00	26
42.95	56
50.84	45
53.27	7
62.35	9
68.68	18


This entry pairs a crystal structure of InP with its simulated powder diffraction line list. Radiation: λ = 1.5418 Å (Cu Kα). Structure: a crystal structure in the Materials Project, relaxed with PBE.

Structure:
```
data_InP
_symmetry_space_group_name_H-M 'P 1'
_symmetry_Int_Tables_number 1
_cell_length_a 3.9157
_cell_length_b 3.9157
_cell_length_c 3.9157
_cell_angle_alpha 60.00
_cell_angle_beta 60.00
_cell_angle_gamma 60.00
loop_
_symmetry_equiv_pos_as_xyz
'x,y,z'
loop_
_atom_site_label
_atom_site_type_symbol
_atom_site_fract_x
_atom_site_fract_y
_atom_site_fract_z
_atom_site_occupancy
In1 In 0.0000 0.0000 0.0000 1
P1 P 0.5000 0.5000 0.5000 1
```

Principal peaks in the range 2θ = 5–70°, sorted by position:
two_theta	I/Imax
27.91	65
32.33	100
46.38	70
55.00	30
57.67	24
67.68	11


This entry pairs a crystal structure of InP2Pb with its simulated powder diffraction line list. Radiation: λ = 1.5418 Å (Cu Kα). Structure: a crystal structure in the Materials Project, relaxed with PBE.

Structure:
```
data_InP2Pb
_symmetry_space_group_name_H-M 'P 1'
_symmetry_Int_Tables_number 1
_cell_length_a 5.0206
_cell_length_b 5.0206
_cell_length_c 5.0206
_cell_angle_alpha 60.00
_cell_angle_beta 60.00
_cell_angle_gamma 60.00
loop_
_symmetry_equiv_pos_as_xyz
'x,y,z'
loop_
_atom_site_label
_atom_site_type_symbol
_atom_site_fract_x
_atom_site_fract_y
_atom_site_fract_z
_atom_site_occupancy
In1 In 0.0000 0.0000 0.0000 1
P1 P 0.5000 0.5000 0.5000 1
P2 P 0.7500 0.7500 0.7500 1
Pb1 Pb 0.2500 0.2500 0.2500 1
```

Principal peaks in the range 2θ = 5–70°, sorted by position:
two_theta	I/Imax
21.68	58
25.08	6
35.77	100
42.21	33
44.19	2
51.48	17
56.49	14
58.10	3
64.27	36
68.69	11


This entry pairs a crystal structure of InPPd5 with its simulated powder diffraction line list. Radiation: λ = 1.5418 Å (Cu Kα). Structure: a crystal structure in the Materials Project, relaxed with PBE.

Structure:
```
data_InPPd5
_symmetry_space_group_name_H-M 'P 1'
_symmetry_Int_Tables_number 1
_cell_length_a 3.9922
_cell_length_b 3.9922
_cell_length_c 7.0330
_cell_angle_alpha 90.00
_cell_angle_beta 90.00
_cell_angle_gamma 90.00
loop_
_symmetry_equiv_pos_as_xyz
'x,y,z'
loop_
_atom_site_label
_atom_site_type_symbol
_atom_site_fract_x
_atom_site_fract_y
_atom_site_fract_z
_atom_site_occupancy
In1 In 0.0000 0.0000 0.0000 1
P1 P 0.5000 0.5000 0.5000 1
Pd1 Pd 0.0000 0.5000 0.2998 1
Pd2 Pd 0.0000 0.5000 0.7002 1
Pd3 Pd 0.5000 0.0000 0.2998 1
Pd4 Pd 0.5000 0.0000 0.7002 1
Pd5 Pd 0.5000 0.5000 0.0000 1
```

Principal peaks in the range 2θ = 5–70°, sorted by position:
two_theta	I/Imax
12.59	4
31.70	9
34.23	49
38.40	24
41.00	100
45.44	48
50.61	3
52.01	5
60.96	24
66.21	15


This entry pairs a crystal structure of InPPt5 with its simulated powder diffraction line list. Radiation: λ = 1.5418 Å (Cu Kα). Structure: a crystal structure in the Materials Project, relaxed with PBE.

Structure:
```
data_InPPt5
_symmetry_space_group_name_H-M 'P 1'
_symmetry_Int_Tables_number 1
_cell_length_a 3.9995
_cell_length_b 3.9995
_cell_length_c 7.0768
_cell_angle_alpha 90.00
_cell_angle_beta 90.00
_cell_angle_gamma 90.00
loop_
_symmetry_equiv_pos_as_xyz
'x,y,z'
loop_
_atom_site_label
_atom_site_type_symbol
_atom_site_fract_x
_atom_site_fract_y
_atom_site_fract_z
_atom_site_occupancy
In1 In 0.0000 0.0000 0.0000 1
P1 P 0.5000 0.5000 0.5000 1
Pt1 Pt 0.0000 0.5000 0.2975 1
Pt2 Pt 0.0000 0.5000 0.7025 1
Pt3 Pt 0.5000 0.0000 0.2975 1
Pt4 Pt 0.5000 0.0000 0.7025 1
Pt5 Pt 0.5000 0.5000 0.0000 1
```

Principal peaks in the range 2θ = 5–70°, sorted by position:
two_theta	I/Imax
25.17	8
31.64	19
34.14	44
38.15	25
40.85	100
45.35	48
50.37	6
51.67	5
60.71	26
66.07	17


This entry pairs a crystal structure of In2P3S9 with its simulated powder diffraction line list. Radiation: λ = 1.5418 Å (Cu Kα). Structure: a crystal structure in the Materials Project, relaxed with PBE.

Structure:
```
data_In2P3S9
_symmetry_space_group_name_H-M 'P 1'
_symmetry_Int_Tables_number 1
_cell_length_a 7.4110
_cell_length_b 10.6851
_cell_length_c 18.5517
_cell_angle_alpha 90.00
_cell_angle_beta 106.15
_cell_angle_gamma 90.00
loop_
_symmetry_equiv_pos_as_xyz
'x,y,z'
loop_
_atom_site_label
_atom_site_type_symbol
_atom_site_fract_x
_atom_site_fract_y
_atom_site_fract_z
_atom_site_occupancy
In1 In 0.0012 0.1484 0.3241 1
In2 In 0.0012 0.3516 0.8241 1
In3 In 0.0017 0.1790 0.0103 1
In4 In 0.0017 0.3210 0.5103 1
In5 In 0.9983 0.6790 0.4897 1
In6 In 0.9983 0.8210 0.9897 1
In7 In 0.9988 0.6484 0.1759 1
In8 In 0.9988 0.8516 0.6759 1
P1 P 0.1567 0.0085 0.8524 1
P2 P 0.1567 0.4915 0.3524 1
P3 P 0.1577 0.0038 0.5141 1
P4 P 0.1577 0.4962 0.0141 1
P5 P 0.1587 0.5135 0.6839 1
P6 P 0.1587 0.9865 0.1839 1
P7 P 0.8413 0.0135 0.8161 1
P8 P 0.8413 0.4865 0.3161 1
P9 P 0.8423 0.5038 0.9859 1
P10 P 0.8423 0.9962 0.4859 1
P11 P 0.8434 0.5085 0.6476 1
P12 P 0.8434 0.9915 0.1476 1
S1 S 0.2280 0.1732 0.9129 1
S2 S 0.2280 0.3268 0.4129 1
S3 S 0.2287 0.5046 0.5826 1
S4 S 0.2287 0.9954 0.0826 1
S5 S 0.2302 0.5092 0.9174 1
S6 S 0.2302 0.9908 0.4174 1
S7 S 0.2336 0.6558 0.0788 1
S8 S 0.2336 0.8442 0.5788 1
S9 S 0.2389 0.0149 0.7575 1
S10 S 0.2389 0.4851 0.2575 1
S11 S 0.2406 0.6493 0.4129 1
S12 S 0.2414 0.6741 0.7406 1
S13 S 0.2414 0.8259 0.2406 1
S14 S 0.2406 0.8507 0.9129 1
S15 S 0.2418 0.1547 0.5814 1
S16 S 0.2418 0.3453 0.0814 1
S17 S 0.2441 0.1443 0.2435 1
S18 S 0.2441 0.3557 0.7435 1
S19 S 0.7559 0.6443 0.2565 1
S20 S 0.7559 0.8557 0.7565 1
S21 S 0.7582 0.6547 0.9186 1
S22 S 0.7582 0.8453 0.4186 1
S23 S 0.7594 0.1493 0.0871 1
S24 S 0.7586 0.1741 0.7594 1
S25 S 0.7586 0.3259 0.2594 1
S26 S 0.7594 0.3507 0.5871 1
S27 S 0.7611 0.5149 0.7425 1
S28 S 0.7611 0.9851 0.2425 1
S29 S 0.7664 0.1558 0.4212 1
S30 S 0.7664 0.3442 0.9212 1
S31 S 0.7698 0.0092 0.5826 1
S32 S 0.7698 0.4908 0.0826 1
S33 S 0.7713 0.0046 0.9174 1
S34 S 0.7713 0.4954 0.4174 1
S35 S 0.7720 0.6732 0.5871 1
S36 S 0.7720 0.8268 0.0871 1
```

Principal peaks in the range 2θ = 5–70°, sorted by position:
two_theta	I/Imax
12.43	100
12.94	8
17.33	8
29.18	14
29.24	23
33.52	78
41.63	11
44.90	14
51.20	17
51.31	14